# 1
Starting from a cell relaxed with PBE, the X-ray diffraction stick pattern of NaH3O2 was simulated for Cu Ka.
Peak positions follow from Bragg's law for the DFT cell and can differ from measured ones.

Principal peaks in the range 5 to 70 degrees two-theta, by angle:
5.754 Å, 15.4°, I 83, (0 0 2); 2.877 Å, 31.1°, I 100, (0 0 4); 2.696 Å, 33.2°, I 45, (1 2 1); 2.685 Å, 33.4°, I 79, (2 1 1); 2.607 Å, 34.4°, I 45, (1 0 4); 2.498 Å, 35.9°, I 85, (1 2 2); 2.489 Å, 36.1°, I 58, (2 1 2); 2.241 Å, 40.2°, I 51, (2 1 3); 1.935 Å, 47.0°, I 60, (1 3 1); 1.848 Å, 49.3°, I 94, (0 2 5)

Structure:
```
data_NaH3O2
_space_group_name_H-M_alt 'P b c a'
_space_group_IT_number 61
_cell_length_a 6.164
_cell_length_b 6.211
_cell_length_c 11.508
_cell_angle_alpha 90.00
_cell_angle_beta 90.00
_cell_angle_gamma 90.00
loop_
_space_group_symop_operation_xyz
'x,y,z'
'-x,-y,-z'
'-x+1/2,-y,z+1/2'
'x+1/2,y,-z+1/2'
'x+1/2,-y+1/2,-z'
'-x+1/2,y+1/2,z'
'-x,y+1/2,-z+1/2'
'x,-y+1/2,z+1/2'
loop_
_atom_site_label
_atom_site_type_symbol
_atom_site_fract_x
_atom_site_fract_y
_atom_site_fract_z
Na1 Na 0.140 0.198 0.062
H1 H 0.062 0.625 0.709
H2 H 0.070 0.103 0.367
H3 H 0.222 0.071 0.865
O1 O 0.029 0.647 0.626
O2 O 0.114 0.555 0.871
```

# 2
Starting from a cell relaxed with PBE, the X-ray diffraction stick pattern of As2Cl3OF5 was simulated for Cu Ka.
Peak positions follow from Bragg's law for the DFT cell and can differ from measured ones.

Principal peaks in the range 5 to 70 degrees two-theta, by angle:
7.102 Å, 12.5°, I 14, (0 1 1); 5.373 Å, 16.5°, I 18, (1 1 -1); 4.844 Å, 18.3°, I 100, (0 4 0); 4.228 Å, 21.0°, I 10, (1 3 -1); 3.816 Å, 23.3°, I 17, (0 0 2); 3.768 Å, 23.6°, I 33, (1 2 1); 3.721 Å, 23.9°, I 12, (1 1 -2); 2.797 Å, 32.0°, I 13, (1 1 2); 2.421 Å, 37.1°, I 11, (2 2 1); 1.978 Å, 45.9°, I 10, (2 6 1)

Structure:
```
data_As2Cl3OF5
_space_group_name_H-M_alt 'P 1 21/c 1'
_space_group_IT_number 14
_cell_length_a 6.214
_cell_length_b 19.375
_cell_length_c 8.037
_cell_angle_alpha 90.00
_cell_angle_beta 108.25
_cell_angle_gamma 90.00
loop_
_space_group_symop_operation_xyz
'x,y,z'
'-x,-y,-z'
'-x,y+1/2,-z+1/2'
'x,-y+1/2,z+1/2'
loop_
_atom_site_label
_atom_site_type_symbol
_atom_site_fract_x
_atom_site_fract_y
_atom_site_fract_z
As1 As 0.052 0.121 0.184
As2 As 0.361 0.613 0.684
Cl1 Cl 0.186 0.633 0.866
Cl2 Cl 0.393 0.037 0.711
Cl3 Cl 0.470 0.205 0.842
O1 O 0.196 0.578 0.492
F1 F 0.019 0.196 0.051
F2 F 0.064 0.043 0.300
F3 F 0.147 0.655 0.221
F4 F 0.240 0.087 0.080
F5 F 0.278 0.157 0.352
```

# 3
Starting from a cell relaxed with PBE, the X-ray diffraction stick pattern of TmRu3C was simulated for Cu Ka.
Peak positions follow from Bragg's law for the DFT cell and can differ from measured ones.

Principal peaks in the range 5 to 70 degrees two-theta, by angle:
4.143 Å, 21.5°, I 4, (1 0 0); 2.929 Å, 30.5°, I 7, (1 1 0); 2.392 Å, 37.6°, I 100, (1 1 1); 2.071 Å, 43.7°, I 53, (2 0 0); 1.853 Å, 49.2°, I 2, (2 1 0); 1.691 Å, 54.2°, I 3, (2 1 1); 1.465 Å, 63.5°, I 34, (2 2 0); 1.381 Å, 67.9°, I 1, (3 0 0)

Structure:
```
data_TmRu3C
_space_group_name_H-M_alt 'P m -3 m'
_space_group_IT_number 221
_space_group_name_Hall '-P 4 2 3'
_cell_length_a 4.143
_cell_length_b 4.143
_cell_length_c 4.143
_cell_angle_alpha 90.00
_cell_angle_beta 90.00
_cell_angle_gamma 90.00
loop_
_atom_site_label
_atom_site_type_symbol
_atom_site_fract_x
_atom_site_fract_y
_atom_site_fract_z
Tm1 Tm 0.000 0.000 0.000
Ru1 Ru 0.000 0.500 0.500
C1 C 0.500 0.500 0.500
```

# 4
Starting from a cell relaxed with PBE, the X-ray diffraction stick pattern of Li15Pd4 was simulated for Cu Ka.
Peak positions follow from Bragg's law for the DFT cell and can differ from measured ones.

Principal peaks in the range 5 to 70 degrees two-theta, by angle:
4.337 Å, 20.5°, I 35, (2 1 1); 3.756 Å, 23.7°, I 100, (2 2 0); 3.359 Å, 26.5°, I 51, (3 1 0); 2.839 Å, 31.5°, I 20, (3 2 1); 2.265 Å, 39.8°, I 34, (3 3 2); 2.168 Å, 41.6°, I 18, (4 2 2); 2.083 Å, 43.4°, I 48, (5 1 0); 1.940 Å, 46.8°, I 30, (5 2 1); 1.502 Å, 61.7°, I 14, (7 1 0); 1.446 Å, 64.5°, I 17, (7 2 1)

Structure:
```
data_Li15Pd4
_space_group_name_H-M_alt 'I -4 3 d'
_space_group_IT_number 220
_space_group_name_Hall 'I -4bd 2c 3'
_cell_length_a 10.623
_cell_length_b 10.623
_cell_length_c 10.623
_cell_angle_alpha 90.00
_cell_angle_beta 90.00
_cell_angle_gamma 90.00
loop_
_atom_site_label
_atom_site_type_symbol
_atom_site_fract_x
_atom_site_fract_y
_atom_site_fract_z
Li1 Li 0.000 0.250 0.875
Li2 Li 0.038 0.119 0.658
Pd1 Pd 0.043 0.043 0.043
```